The following is a theoretical powder X-ray diffraction pattern of Li3VO3F2. It was derived from a cell relaxed with PBE+U, using copper Kα.
Peak positions follow from Bragg's law for the DFT cell and can differ from measured ones.

Structure:
```
Li3VO3F2
1.0
3.9038 0.0000 0.0000
1.9490 4.8116 0.0000
0.0556 2.5281 5.4894
Li V O F
3 1 3 2
Direct
0.0000 0.0000 0.0000
0.0595 0.8791 0.4567
0.4880 0.0278 0.6777
0.7938 0.5044 0.3752
0.2198 0.5362 0.3324
0.6140 0.7589 0.5047
0.9261 0.1528 0.6328
0.5647 0.8586 0.0227
0.8635 0.2523 0.1736
```

Principal peaks in the range 2θ from 10° to 90°, in order of falling intensity:
16.15°, intensity 100.0; 24.98°, intensity 70.2; 19.99°, intensity 59.1; 31.03°, intensity 24.4; 46.53°, intensity 22.3; 40.62°, intensity 21.6; 45.81°, intensity 20.2; 49.85°, intensity 11.5; 27.51°, intensity 11.1; 20.32°, intensity 10.0

---

The following is a theoretical powder X-ray diffraction pattern of Li3V2O4F2. It was derived from a cell relaxed with PBE+U, using copper Kα.
Peak positions follow from Bragg's law for the DFT cell and can differ from measured ones.

Structure:
```
Li3V2O4F2
1.0
5.1426 0.0000 0.0000
0.0000 6.1043 0.0000
-2.4258 0.0000 7.7180
Li V O F
6 4 8 4
Direct
0.0000 0.0000 0.0000
0.0826 0.2508 0.7611
0.0826 0.7492 0.7611
0.5421 0.2494 0.0002
0.5421 0.7506 0.0002
0.6277 0.5000 0.7630
0.3196 0.2502 0.3817
0.3196 0.7498 0.3817
0.8188 0.5000 0.3795
0.8199 0.0000 0.3827
0.0417 0.2465 0.5166
0.0417 0.7535 0.5166
0.0671 0.0000 0.2470
0.0774 0.5000 0.2590
0.5614 0.0000 0.5040
0.5728 0.5000 0.5170
0.5962 0.2528 0.2460
0.5962 0.7472 0.2460
0.2919 0.0000 0.8990
0.3335 0.5000 0.8631
0.8128 0.2500 0.8820
0.8128 0.7500 0.8820
```

Principal peaks in the range 2θ from 10° to 90°, in order of falling intensity:
11.47°, intensity 100.0; 23.05°, intensity 38.6; 38.35°, intensity 37.6; 37.07°, intensity 14.6; 54.06°, intensity 12.6; 50.67°, intensity 8.8; 62.32°, intensity 8.3; 34.73°, intensity 7.6; 45.13°, intensity 7.5; 65.27°, intensity 6.7

---

The following is a theoretical powder X-ray diffraction pattern of Li2VO2F. It was derived from a cell relaxed with PBE+U, using copper Kα.
Peak positions follow from Bragg's law for the DFT cell and can differ from measured ones.

Structure:
```
Li2VO2F
1.0
6.5367 -1.4718 0.0000
6.5367 1.4718 0.0000
-1.3502 0.0000 5.7760
Li V O F
4 2 4 2
Direct
0.0000 0.0000 0.0000
0.0000 0.0000 0.5000
0.3326 0.3326 0.6556
0.6674 0.6674 0.3444
0.3296 0.3296 0.1714
0.6704 0.6704 0.8286
0.1623 0.1623 0.5980
0.1671 0.1671 0.0689
0.8329 0.8329 0.9311
0.8377 0.8377 0.4020
0.4979 0.4979 0.2454
0.5021 0.5021 0.7546
```

Principal peaks in the range 2θ from 10° to 90°, in order of falling intensity:
18.24°, intensity 100.0; 43.31°, intensity 96.7; 62.38°, intensity 52.7; 42.61°, intensity 51.1; 13.91°, intensity 35.3; 15.34°, intensity 33.1; 35.66°, intensity 26.8; 47.08°, intensity 15.5; 35.16°, intensity 14.6; 23.03°, intensity 13.9

---

The following is a theoretical powder X-ray diffraction pattern of Li7V4O11F. It was derived from a cell relaxed with PBE+U, using copper Kα.
Peak positions follow from Bragg's law for the DFT cell and can differ from measured ones.

Structure:
```
Li7V4O11F
1.0
5.0346 0.0000 0.0000
2.4924 4.4874 0.0000
1.8952 0.0115 9.6604
Li V O F
7 4 11 1
Direct
0.0000 0.0000 0.0000
0.0645 0.3360 0.7539
0.2255 0.0246 0.2532
0.4314 0.6572 0.7424
0.6049 0.3208 0.2461
0.7467 0.0222 0.7490
0.9240 0.6628 0.2493
0.1407 0.6657 0.5039
0.3355 0.3274 0.0002
0.4939 0.0336 0.5066
0.6585 0.6809 0.0006
0.0231 0.6478 0.8894
0.1804 0.9513 0.6040
0.2424 0.3541 0.3863
0.3286 0.6455 0.1124
0.3887 0.0034 0.8880
0.4172 0.3391 0.6201
0.6040 0.0048 0.1136
0.6723 0.3544 0.8844
0.7872 0.7146 0.6213
0.8617 0.9650 0.3833
0.9726 0.3542 0.1168
0.5137 0.7037 0.3694
```

Principal peaks in the range 2θ from 10° to 90°, in order of falling intensity:
18.37°, intensity 100.0; 20.53°, intensity 45.0; 42.84°, intensity 44.8; 42.95°, intensity 42.2; 44.28°, intensity 39.2; 21.84°, intensity 23.9; 25.21°, intensity 21.7; 21.04°, intensity 15.0; 35.30°, intensity 13.8; 35.46°, intensity 11.9